Structure and computed X-ray powder pattern of Sc2W4Au3N3 (a PBE-relaxed structure; copper Kα).
Intensities are scaled so that the largest is 100.

Atomic structure:
Cell lengths 9.567, 5.587, 13.430 Å; angles 90.00, 103.50, 90.00 degrees
Space group C2/c (No. 15)
Asymmetric unit:
Sc: 0.045 0.080 0.391
W: 0.109 0.428 0.573
W: 0.220 0.414 0.927
Au: 0.000 0.491 0.250
Au: 0.206 0.127 0.748
N: 0.074 0.224 0.000
N: 0.250 0.250 0.500

Top 6 peaks for 2θ = 5–70°, low angle first:
2θ/deg, I/Imax
18.52, 60
32.32, 41
38.28, 95
38.46, 100
38.59, 92
41.49, 61